This entry pairs a crystal structure of ErBCl with its computed XRD peak list. Radiation: Cu Kα. Structure: DFT lattice parameters and positions (GGA-PBE).
Lines closer than 0.1° are merged.

The 10 most intense peaks (5 to 70 degrees two-theta), by angle:
2θ/deg  I_rel  index
8.05  100.0  0 0 1
16.13  28.3  0 0 2
24.30  19.5  0 0 3
29.90  51.0  1 1 0
30.87  19.3  2 0 -1
31.10  21.4  1 1 1
38.48  15.9  2 0 -3
38.68  27.1  1 1 -3
39.10  28.9  1 1 3
53.08  21.0  0 2 0

Cell and atoms:
Lattice parameters (Å, degrees): 5.978 3.451 10.992 90.00 91.20 90.00
Space group C2/m (No. 12)
Symmetry-distinct sites (fractional):
Er  0.006  0.000  0.163 (multiplicity 4)
B  0.166  0.500  0.993 (multiplicity 4)
Cl  0.179  0.500  0.328 (multiplicity 4)

---

This entry pairs a crystal structure of Er2B2Cl2O5 with its computed XRD peak list. Radiation: Cu Kα. Structure: DFT lattice parameters and positions (GGA-PBE).
Lines closer than 0.1° are merged.

The 10 most intense peaks (5 to 70 degrees two-theta), by angle:
2θ/deg  I_rel  index
14.78  19.3  1 2 0
16.76  100.0  0 0 1
17.58  50.6  2 0 0
23.90  40.5  0 4 0
29.13  32.2  3 2 0
29.82  31.1  2 4 0
33.85  54.8  0 0 2
41.89  18.4  0 4 2
45.29  23.3  3 2 2
45.75  19.0  2 4 2

Cell and atoms:
Lattice parameters (Å, degrees): 10.092 14.896 5.291 90.00 90.00 90.00
Space group Pbam (No. 55)
Symmetry-distinct sites (fractional):
Er  0.031  0.121  0.000 (multiplicity 4)
Er  0.068  0.609  0.000 (multiplicity 4)
B  0.198  0.267  0.000 (multiplicity 4)
B  0.244  0.935  0.000 (multiplicity 4)
Cl  0.011  0.131  0.500 (multiplicity 4)
Cl  0.083  0.610  0.500 (multiplicity 4)
O  0.063  0.275  0.000 (multiplicity 4)
O  0.129  0.464  0.000 (multiplicity 4)
O  0.133  0.987  0.000 (multiplicity 4)
O  0.213  0.840  0.000 (multiplicity 4)
O  0.244  0.181  0.000 (multiplicity 4)

---

This entry pairs a crystal structure of Eu5B3ClO9 with its computed XRD peak list. Radiation: Cu Kα. Structure: DFT lattice parameters and positions (GGA-PBE).
Lines closer than 0.1° are merged.

The 10 most intense peaks (5 to 70 degrees two-theta), by angle:
2θ/deg  I_rel  index
23.83  53.3  1 3 1
26.43  47.1  1 1 2
27.42  35.3  3 1 0
30.03  100.0  2 0 2
30.60  42.6  2 4 0
31.84  59.2  1 3 2
32.68  33.0  3 3 0
32.97  36.1  2 4 1
34.63  30.2  1 5 1
50.82  58.6  0 8 0

Cell and atoms:
Lattice parameters (Å, degrees): 10.016 14.385 7.396 90.00 90.00 90.00
Space group C222_1 (No. 20)
Symmetry-distinct sites (fractional):
Eu  0.000  0.135  0.250 (multiplicity 4)
Eu  0.000  0.137  0.750 (multiplicity 4)
Eu  0.132  0.372  0.937 (multiplicity 8)
Eu  0.238  0.500  0.500 (multiplicity 4)
B  0.129  0.000  0.500 (multiplicity 4)
B  0.200  0.287  0.530 (multiplicity 8)
Cl  0.000  0.449  0.250 (multiplicity 4)
O  0.011  0.000  0.000 (multiplicity 4)
O  0.121  0.354  0.613 (multiplicity 8)
O  0.147  0.200  0.489 (multiplicity 8)
O  0.166  0.194  0.990 (multiplicity 8)
O  0.195  0.002  0.336 (multiplicity 8)

---

This entry pairs a crystal structure of BClF3 with its computed XRD peak list. Radiation: Cu Kα. Structure: DFT lattice parameters and positions (GGA-PBE).
Lines closer than 0.1° are merged.

The 10 most intense peaks (5 to 70 degrees two-theta), by angle:
2θ/deg  I_rel  index
26.45  50.9  1 0 4
30.28  100.0  0 1 5
31.22  21.6  1 1 0
34.57  40.8  1 1 3
37.56  59.0  2 0 2
43.27  14.8  1 1 6
44.41  17.7  0 0 9
48.82  15.0  2 1 1
57.74  17.1  0 3 3
64.13  12.6  1 2 8

Cell and atoms:
Lattice parameters (Å, degrees): 5.7292 5.7292 18.3581 90.00 90.00 120.00
Space group R-3m (No. 166, hexagonal axes)
Symmetry-distinct sites (fractional):
B  0.0000  0.0000  0.1135 (multiplicity 6)
Cl  0.0000  0.0000  0.3165 (multiplicity 6)
F  0.0664  0.5332  0.7791 (multiplicity 18)

---

This entry pairs a crystal structure of PmBClF6 with its computed XRD peak list. Radiation: Cu Kα. Structure: DFT lattice parameters and positions (GGA-PBE).
Lines closer than 0.1° are merged.

The 10 most intense peaks (5 to 70 degrees two-theta), by angle:
2θ/deg  I_rel  index
12.69  99.5  0 0 1
18.83  31.1  1 0 0
22.77  100.0  0 1 1
31.92  27.7  1 0 2
32.91  17.5  1 1 0
35.40  15.2  2 -1 1
40.39  25.1  2 0 1
42.11  32.5  2 -1 2
43.39  21.7  0 1 3
53.05  25.5  2 1 1

Cell and atoms:
Lattice parameters (Å, degrees): 5.4430 5.4430 6.9764 90.00 90.00 120.00
Space group P3 (No. 143)
Symmetry-distinct sites (fractional):
Pm  0.0000  0.0000  0.0000 (multiplicity 1)
B  0.3333  0.6667  0.0009 (multiplicity 1)
Cl  0.6667  0.3333  0.5005 (multiplicity 1)
F  0.0892  0.4185  0.1364 (multiplicity 3)
F  0.0889  0.6705  0.8645 (multiplicity 3)

---

This entry pairs a crystal structure of FeBPRhCl with its computed XRD peak list. Radiation: Cu Kα. Structure: DFT lattice parameters and positions (GGA-PBE).
Lines closer than 0.1° are merged.

The 10 most intense peaks (5 to 70 degrees two-theta), by angle:
2θ/deg  I_rel  index
14.47  58.3  0 0 1
25.45  71.5  0 1 -1
30.04  38.9  0 1 1
31.24  100.0  1 -1 0
34.26  27.3  0 1 -2
35.51  27.5  1 0 1
44.40  23.8  0 0 3
51.14  27.2  1 1 1
53.44  32.0  1 -1 3
59.73  24.3  2 -1 0

Cell and atoms:
Lattice parameters (Å, degrees): 3.096 4.123 6.223 99.57 90.23 111.90
Space group P1 (No. 1)
Symmetry-distinct sites (fractional):
Fe  0.000  0.000  0.000 (multiplicity 1)
B  0.427  0.856  0.791 (multiplicity 1)
P  0.693  0.392  0.942 (multiplicity 1)
Rh  0.795  0.595  0.618 (multiplicity 1)
Cl  0.054  0.104  0.371 (multiplicity 1)

---

This entry pairs a crystal structure of B2H7Cl2 with its computed XRD peak list. Radiation: Cu Kα. Structure: DFT lattice parameters and positions (GGA-PBE).
Lines closer than 0.1° are merged.

The 10 most intense peaks (5 to 70 degrees two-theta), by angle:
2θ/deg  I_rel  index
21.49  54.1  0 0 1
22.05  46.6  1 1 -1
26.60  88.0  2 0 -1
27.49  33.0  2 0 0
28.87  100.0  0 2 1
31.96  64.6  1 3 0
33.67  53.1  2 2 0
35.19  27.6  1 3 -1
42.19  28.1  2 0 1
48.11  26.7  3 3 -1

Cell and atoms:
Lattice parameters (Å, degrees): 7.196 9.313 4.586 90.00 115.60 90.00
Space group C2/m (No. 12)
Symmetry-distinct sites (fractional):
B  0.175  0.000  0.492 (multiplicity 4)
H  0.000  0.000  0.500 (multiplicity 2)
H  0.160  0.000  0.225 (multiplicity 4)
H  0.192  0.428  0.254 (multiplicity 8)
Cl  0.000  0.302  0.000 (multiplicity 4)